Structure and simulated powder diffractogram of CaMnFeO5 (DFT lattice parameters and positions (PBE+U); Cu Kα (weighted mean of Kα1 and Kα2)).

Main lines, in order of rising 2θ (15 to 90 degrees two-theta):
2theta	I (rel.)	hkl
16.90	25	0 1 1
20.18	29	0 1 2
20.74	33	1 0 2
22.72	100	1 1 0
24.73	24	0 1 3
25.45	48	0 0 4
31.61	36	0 2 0
33.08	55	2 0 0
34.38	84	1 1 4
35.78	23	0 1 5
46.41	51	2 2 0
52.29	40	0 0 8

Cell and atoms:
Lattice parameters (Å, degrees): 5.4158 5.6606 13.9980 90.00 90.00 90.00
Space group P2_12_12_1 (No. 19)
Symmetry-distinct sites (fractional):
Ca1 0.2443 0.0397 0.1528 [4 per cell]
Mn1 0.2487 0.5219 0.2461 [4 per cell]
Fe1 0.1957 0.5822 0.9984 [4 per cell]
O1 0.0031 0.7445 0.7663 [4 per cell]
O2 0.0043 0.2535 0.2698 [4 per cell]
O3 0.1465 0.1272 0.5102 [4 per cell]
O4 0.2242 0.5574 0.3837 [4 per cell]
O5 0.2388 0.5629 0.6131 [4 per cell]